[1]
Starting from DFT lattice parameters and positions (PBE+U), the powder XRD pattern of Fe4O5F3 was calculated for Cu Kα.

The 6 most intense peaks (2θ = 10–90°), by angle:
hkl  two_theta  I_rel
1 1 1  27.24  100
0 0 4  35.18  13
2 0 -2  35.33  38
1 1 5  53.36  14
3 1 -1  53.64  28
2 2 2  56.19  15

Cell and atoms:
```
data_Fe4O5F3
_chemical_formula_sum 'Fe8 O10 F6'
_space_group_name_H-M_alt 'P 1 c 1'
_space_group_IT_number 7
_cell_length_a 5.5277
_cell_length_b 4.6266
_cell_length_c 10.2629
_cell_angle_alpha 90.00
_cell_angle_beta 96.21
_cell_angle_gamma 90.00
loop_
_space_group_symop_operation_xyz
'x,y,z'
'x,-y,z+1/2'
loop_
_atom_site_label
_atom_site_type_symbol
_atom_site_fract_x
_atom_site_fract_y
_atom_site_fract_z
Fe1 Fe 0.0000 0.1955 0.0000
Fe2 Fe 0.2711 0.2201 0.7554
Fe3 Fe 0.5200 0.2772 0.4816
Fe4 Fe 0.7591 0.2661 0.2391
O1 O 0.0281 0.0524 0.1740
O2 O 0.2871 0.0250 0.9225
O3 O 0.4941 0.4577 0.3149
O4 O 0.7398 0.4387 0.0632
O5 O 0.7721 0.0806 0.4084
F1 F 0.9998 0.4291 0.8282
F2 F 0.2444 0.4566 0.5703
F3 F 0.5350 0.0690 0.6570
```



[2]
Starting from DFT lattice parameters and positions (PBE+U), the powder XRD pattern of Co2IrO6 was calculated for Cu Kα.

The 6 most intense peaks (2θ = 10–90°), by angle:
hkl  two_theta  I_rel
0 0 2  19.22  19
1 0 1  22.28  53
1 1 0  28.53  100
1 0 3  35.53  84
2 0 0  40.79  20
2 1 3  55.18  66

Cell and atoms:
```
data_Co2IrO6
_chemical_formula_sum 'Co4 Ir2 O12'
_space_group_name_H-M_alt 'P 42/m n m'
_space_group_IT_number 136
_space_group_name_Hall '-P 4n 2n'
_cell_length_a 4.4246
_cell_length_b 4.4246
_cell_length_c 9.2352
_cell_angle_alpha 90.00
_cell_angle_beta 90.00
_cell_angle_gamma 90.00
loop_
_atom_site_label
_atom_site_type_symbol
_atom_site_fract_x
_atom_site_fract_y
_atom_site_fract_z
Co1 Co 0.0000 0.0000 0.1656
Ir1 Ir 0.0000 0.0000 0.5000
O1 O 0.1984 0.1984 0.0000
O2 O 0.1981 0.1981 0.3334
```



What did the second record say?
Starting from DFT lattice parameters and positions (PBE+U), the powder XRD pattern of Co2IrO6 was calculated for Cu Kα.

The 6 most intense peaks (2θ = 10–90°), by angle:
hkl  two_theta  I_rel
0 0 2  19.22  19
1 0 1  22.28  53
1 1 0  28.53  100
1 0 3  35.53  84
2 0 0  40.79  20
2 1 3  55.18  66

Cell and atoms:
```
data_Co2IrO6
_chemical_formula_sum 'Co4 Ir2 O12'
_space_group_name_H-M_alt 'P 42/m n m'
_space_group_IT_number 136
_space_group_name_Hall '-P 4n 2n'
_cell_length_a 4.4246
_cell_length_b 4.4246
_cell_length_c 9.2352
_cell_angle_alpha 90.00
_cell_angle_beta 90.00
_cell_angle_gamma 90.00
loop_
_atom_site_label
_atom_site_type_symbol
_atom_site_fract_x
_atom_site_fract_y
_atom_site_fract_z
Co1 Co 0.0000 0.0000 0.1656
Ir1 Ir 0.0000 0.0000 0.5000
O1 O 0.1984 0.1984 0.0000
O2 O 0.1981 0.1981 0.3334
```



Number 2 is which compound? Co2IrO6